# Zr3Ga
Simulated XRD peak list, Cu Kα (weighted mean of Kα1 and Kα2). Input: a PBE-relaxed structure.
Intensities are scaled so that the largest is 100.

The 8 most intense peaks (15 to 90 degrees two-theta), low angle first:
2θ = 20.33°, rel. 1; 2θ = 28.91°, rel. 1; 2θ = 35.60°, rel. 100; 2θ = 41.34°, rel. 49; 2θ = 59.90°, rel. 32; 2θ = 71.67°, rel. 36; 2θ = 75.39°, rel. 10; 2θ = 89.83°, rel. 5

Structural model:
Cell lengths 4.3676, 4.3676, 4.3676 Å; angles 90.00, 90.00, 90.00 degrees
Element x y z (fractional)
Zr 0.0000 0.0000 0.5000
Zr 0.0000 0.5000 0.0000
Zr 0.5000 0.0000 0.0000
Ga 0.5000 0.5000 0.5000

***

# NbHO3
Simulated XRD peak list, Cu Kα (weighted mean of Kα1 and Kα2). Input: a PBE-relaxed structure.
Intensities are scaled so that the largest is 100.

The 10 most intense peaks (15 to 90 degrees two-theta), low angle first:
2θ = 22.56°, rel. 55; 2θ = 22.78°, rel. 100; 2θ = 32.18°, rel. 20; 2θ = 32.32°, rel. 23; 2θ = 32.49°, rel. 22; 2θ = 46.05°, rel. 10; 2θ = 51.96°, rel. 10; 2θ = 52.21°, rel. 22; 2θ = 52.41°, rel. 10; 2θ = 57.70°, rel. 14

Structural model:
Cell lengths 6.7561, 6.7677, 6.7909 Å; angles 109.85, 108.83, 109.31 degrees
Element x y z (fractional)
Nb 0.0000 0.0000 0.0000
Nb 0.0051 0.5015 0.5131
Nb 0.4493 0.9400 0.4388
Nb 0.5260 0.4935 0.9999
H 0.1634 0.0350 0.7063
H 0.4680 0.3629 0.5702
H 0.5426 0.8492 0.7863
H 0.8056 0.0382 0.3392
O 0.0710 0.2803 0.2444
O 0.1869 0.1610 0.8525
O 0.1883 0.7799 0.4739
O 0.2693 0.9752 0.1826
O 0.2867 0.5613 0.7500
O 0.4616 0.6717 0.2404
O 0.5066 0.2889 0.6682
O 0.6607 0.9536 0.7587
O 0.7067 0.4056 0.1762
O 0.7808 0.7848 0.0638
O 0.7832 0.1568 0.4499
O 0.9035 0.6756 0.6885

***

# Na4Ga8Ge15
Simulated XRD peak list, Cu Kα (weighted mean of Kα1 and Kα2). Input: a PBE-relaxed structure.
Intensities are scaled so that the largest is 100.

The 10 most intense peaks (15 to 90 degrees two-theta), low angle first:
2θ = 18.27°, rel. 53; 2θ = 20.03°, rel. 37; 2θ = 28.48°, rel. 34; 2θ = 29.67°, rel. 29; 2θ = 30.81°, rel. 100; 2θ = 34.05°, rel. 33; 2θ = 48.92°, rel. 83; 2θ = 49.68°, rel. 29; 2θ = 50.43°, rel. 27; 2θ = 51.91°, rel. 49

Structural model:
Cell lengths 10.8574, 10.8574, 10.8574 Å; angles 90.00, 90.00, 90.00 degrees
Element x y z (fractional)
Na 0.0000 0.0000 0.0000
Na 0.0000 0.2500 0.5000
Na 0.0000 0.7500 0.5000
Na 0.2500 0.5000 0.0000
Na 0.5000 0.0000 0.2500
Na 0.5000 0.0000 0.7500
Na 0.5000 0.5000 0.5000
Na 0.7500 0.5000 0.0000
Ga 0.1822 0.1822 0.1822
Ga 0.1822 0.1822 0.8178
Ga 0.1822 0.8178 0.1822
Ga 0.1822 0.8178 0.8178
Ga 0.3178 0.3178 0.3178
Ga 0.3178 0.3178 0.6822
Ga 0.3178 0.6822 0.3178
Ga 0.3178 0.6822 0.6822
Ga 0.6822 0.3178 0.3178
Ga 0.6822 0.3178 0.6822
Ga 0.6822 0.6822 0.3178
Ga 0.6822 0.6822 0.6822
Ga 0.8178 0.1822 0.1822
Ga 0.8178 0.1822 0.8178
Ga 0.8178 0.8178 0.1822
Ga 0.8178 0.8178 0.8178
Ge 0.0000 0.3114 0.1153
Ge 0.0000 0.3114 0.8847
Ge 0.0000 0.5000 0.2500
Ge 0.0000 0.5000 0.7500
Ge 0.0000 0.6886 0.1153
Ge 0.0000 0.6886 0.8847
Ge 0.1153 0.0000 0.3114
Ge 0.1153 0.0000 0.6886
Ge 0.1886 0.5000 0.3847
Ge 0.1886 0.5000 0.6153
Ge 0.2500 0.0000 0.5000
Ge 0.3114 0.1153 0.0000
Ge 0.3114 0.8847 0.0000
Ge 0.3847 0.1886 0.5000
Ge 0.3847 0.8114 0.5000
Ge 0.5000 0.2500 0.0000
Ge 0.5000 0.3847 0.1886
Ge 0.5000 0.3847 0.8114
Ge 0.5000 0.6153 0.1886
Ge 0.5000 0.6153 0.8114
Ge 0.5000 0.7500 0.0000
Ge 0.6153 0.1886 0.5000
Ge 0.6153 0.8114 0.5000
Ge 0.6886 0.1153 0.0000
Ge 0.6886 0.8847 0.0000
Ge 0.7500 0.0000 0.5000
Ge 0.8114 0.5000 0.3847
Ge 0.8114 0.5000 0.6153
Ge 0.8847 0.0000 0.3114
Ge 0.8847 0.0000 0.6886

***

# ZnC2O4
Simulated XRD peak list, Cu Kα (weighted mean of Kα1 and Kα2). Input: a PBE-relaxed structure.
Intensities are scaled so that the largest is 100.

The 10 most intense peaks (15 to 90 degrees two-theta), low angle first:
2θ = 18.95°, rel. 10; 2θ = 23.28°, rel. 100; 2θ = 24.50°, rel. 20; 2θ = 35.04°, rel. 13; 2θ = 36.81°, rel. 14; 2θ = 37.56°, rel. 19; 2θ = 38.99°, rel. 15; 2θ = 47.60°, rel. 12; 2θ = 50.23°, rel. 11; 2θ = 52.08°, rel. 10

Structural model:
Cell lengths 5.3844, 5.3117, 6.3235 Å; angles 90.00, 119.59, 90.00 degrees
Element x y z (fractional)
Zn 0.0000 0.0000 0.0000
Zn 0.0000 0.5000 0.5000
C 0.4544 0.1124 0.9100
C 0.4544 0.3876 0.4100
C 0.5456 0.6124 0.5900
C 0.5456 0.8876 0.0900
O 0.2012 0.1954 0.8242
O 0.2012 0.3046 0.3242
O 0.3610 0.6991 0.6392
O 0.3610 0.8009 0.1393
O 0.6390 0.1991 0.8608
O 0.6390 0.3009 0.3608
O 0.7988 0.6954 0.6758
O 0.7988 0.8046 0.1758

***

# Sm2Co17N3
Simulated XRD peak list, Cu Kα (weighted mean of Kα1 and Kα2). Input: a PBE-relaxed structure.
Intensities are scaled so that the largest is 100.

The 10 most intense peaks (15 to 90 degrees two-theta), low angle first:
2θ = 30.37°, rel. 38; 2θ = 36.54°, rel. 38; 2θ = 38.26°, rel. 33; 2θ = 42.45°, rel. 81; 2θ = 42.97°, rel. 100; 2θ = 43.98°, rel. 19; 2θ = 44.50°, rel. 54; 2θ = 48.23°, rel. 19; 2θ = 61.99°, rel. 21; 2θ = 62.80°, rel. 27

Structural model:
Cell lengths 6.3846, 6.3846, 6.3846 Å; angles 83.68, 83.68, 83.68 degrees
Element x y z (fractional)
Sm 0.1577 0.1577 0.1577
Sm 0.8423 0.8423 0.8423
Co 0.0000 0.5000 0.5000
Co 0.1565 0.1565 0.6354
Co 0.1565 0.6354 0.1565
Co 0.2194 0.5000 0.7806
Co 0.2194 0.7806 0.5000
Co 0.3646 0.8435 0.8435
Co 0.4039 0.4039 0.4039
Co 0.5000 0.0000 0.5000
Co 0.5000 0.2194 0.7806
Co 0.5000 0.5000 0.0000
Co 0.5000 0.7806 0.2194
Co 0.5961 0.5961 0.5961
Co 0.6354 0.1565 0.1565
Co 0.7806 0.2194 0.5000
Co 0.7806 0.5000 0.2194
Co 0.8435 0.3646 0.8435
Co 0.8435 0.8435 0.3646
N 0.0000 0.0000 0.5000
N 0.0000 0.5000 0.0000
N 0.5000 0.0000 0.0000

***

# Ce2Ir7
Simulated XRD peak list, Cu Kα (weighted mean of Kα1 and Kα2). Input: a PBE-relaxed structure.
Intensities are scaled so that the largest is 100.

The 10 most intense peaks (15 to 90 degrees two-theta), low angle first:
2θ = 19.37°, rel. 28; 2θ = 33.65°, rel. 19; 2θ = 39.12°, rel. 25; 2θ = 39.55°, rel. 100; 2θ = 41.01°, rel. 31; 2θ = 43.27°, rel. 37; 2θ = 45.51°, rel. 20; 2θ = 64.16°, rel. 24; 2θ = 70.75°, rel. 26; 2θ = 85.17°, rel. 23

Structural model:
Cell lengths 13.5581, 13.5581, 13.5581 Å; angles 22.66, 22.66, 22.66 degrees
Element x y z (fractional)
Ce 0.0503 0.0503 0.0503
Ce 0.1471 0.1471 0.1471
Ce 0.8529 0.8529 0.8529
Ce 0.9497 0.9497 0.9497
Ir 0.0000 0.5000 0.5000
Ir 0.1083 0.6116 0.6116
Ir 0.2778 0.2778 0.2778
Ir 0.3884 0.3884 0.8917
Ir 0.3884 0.8917 0.3884
Ir 0.3891 0.3891 0.3891
Ir 0.5000 0.0000 0.5000
Ir 0.5000 0.5000 0.0000
Ir 0.5000 0.5000 0.5000
Ir 0.6109 0.6109 0.6109
Ir 0.6116 0.1083 0.6116
Ir 0.6116 0.6116 0.1083
Ir 0.7222 0.7222 0.7222
Ir 0.8917 0.3884 0.3884

***

# Lu3U
Simulated XRD peak list, Cu Kα (weighted mean of Kα1 and Kα2). Input: a PBE-relaxed structure.
Intensities are scaled so that the largest is 100.

The 10 most intense peaks (15 to 90 degrees two-theta), low angle first:
2θ = 29.95°, rel. 23; 2θ = 32.35°, rel. 26; 2θ = 34.14°, rel. 100; 2θ = 44.66°, rel. 16; 2θ = 53.16°, rel. 19; 2θ = 58.85°, rel. 21; 2θ = 63.62°, rel. 23; 2θ = 64.71°, rel. 16; 2θ = 83.30°, rel. 8; 2θ = 88.47°, rel. 15

Structural model:
Cell lengths 6.8911, 6.8911, 5.5342 Å; angles 90.00, 90.00, 120.00 degrees
Element x y z (fractional)
Lu 0.1689 0.3379 0.2500
Lu 0.1689 0.8311 0.2500
Lu 0.3379 0.1689 0.7500
Lu 0.6621 0.8311 0.2500
Lu 0.8311 0.1689 0.7500
Lu 0.8311 0.6621 0.7500
U 0.3333 0.6667 0.7500
U 0.6667 0.3333 0.2500

***

Repeat the second record exactly.
# NbHO3
Simulated XRD peak list, Cu Kα (weighted mean of Kα1 and Kα2). Input: a PBE-relaxed structure.
Intensities are scaled so that the largest is 100.

The 10 most intense peaks (15 to 90 degrees two-theta), low angle first:
2θ = 22.56°, rel. 55; 2θ = 22.78°, rel. 100; 2θ = 32.18°, rel. 20; 2θ = 32.32°, rel. 23; 2θ = 32.49°, rel. 22; 2θ = 46.05°, rel. 10; 2θ = 51.96°, rel. 10; 2θ = 52.21°, rel. 22; 2θ = 52.41°, rel. 10; 2θ = 57.70°, rel. 14

Structural model:
Cell lengths 6.7561, 6.7677, 6.7909 Å; angles 109.85, 108.83, 109.31 degrees
Element x y z (fractional)
Nb 0.0000 0.0000 0.0000
Nb 0.0051 0.5015 0.5131
Nb 0.4493 0.9400 0.4388
Nb 0.5260 0.4935 0.9999
H 0.1634 0.0350 0.7063
H 0.4680 0.3629 0.5702
H 0.5426 0.8492 0.7863
H 0.8056 0.0382 0.3392
O 0.0710 0.2803 0.2444
O 0.1869 0.1610 0.8525
O 0.1883 0.7799 0.4739
O 0.2693 0.9752 0.1826
O 0.2867 0.5613 0.7500
O 0.4616 0.6717 0.2404
O 0.5066 0.2889 0.6682
O 0.6607 0.9536 0.7587
O 0.7067 0.4056 0.1762
O 0.7808 0.7848 0.0638
O 0.7832 0.1568 0.4499
O 0.9035 0.6756 0.6885